Structure and simulated X-ray powder pattern of Cs2CdAg2Cl6 (a GGA-PBE-relaxed structure; Cu Kα).

Principal peaks in the range 2θ from 10° to 80°, by angle:
Position (°2θ)	I/Imax
21.99	14
22.55	100
25.75	41
26.66	21
31.70	35
34.49	22
39.59	22
41.60	32
46.04	32
46.81	20
53.99	14
62.31	16

Cell lengths 8.0905, 8.0905, 8.0905 Å; angles 58.33, 58.33, 58.33 degrees
Fractional coordinates of all 11 atoms:
Cs (0.2302, 0.2302, 0.2302)
Cs (0.7698, 0.7698, 0.7698)
Cd (0.0000, 0.0000, 0.0000)
Ag (0.4247, 0.4247, 0.4247)
Ag (0.5753, 0.5753, 0.5753)
Cl (0.2191, 0.7649, 0.7649)
Cl (0.2351, 0.2351, 0.7809)
Cl (0.2351, 0.7809, 0.2351)
Cl (0.7649, 0.2191, 0.7649)
Cl (0.7649, 0.7649, 0.2191)
Cl (0.7809, 0.2351, 0.2351)



Structure and simulated X-ray powder pattern of CdAgHgCl6 (a GGA-PBE-relaxed structure; Cu Kα).

Principal peaks in the range 2θ from 10° to 80°, by angle:
Position (°2θ)	I/Imax
18.72	100
26.59	16
26.99	43
30.15	9
37.96	21
38.25	71
42.65	13
47.19	32
51.87	13
54.99	10
62.10	14
62.70	9

Cell lengths 6.7042, 6.7042, 11.3919 Å; angles 90.00, 90.00, 90.00 degrees
Fractional coordinates of all 18 atoms:
Cd (0.0000, 0.0000, 0.0000)
Cd (0.5000, 0.5000, 0.5000)
Ag (0.0000, 0.0000, 0.3336)
Ag (0.5000, 0.5000, 0.8336)
Hg (0.0000, 0.0000, 0.6702)
Hg (0.5000, 0.5000, 0.1702)
Cl (0.1785, 0.1785, 0.1727)
Cl (0.1814, 0.1814, 0.4946)
Cl (0.1856, 0.1856, 0.8368)
Cl (0.3144, 0.6856, 0.3368)
Cl (0.3186, 0.6814, 0.9946)
Cl (0.3215, 0.6785, 0.6727)
Cl (0.6785, 0.3215, 0.6727)
Cl (0.6814, 0.3186, 0.9946)
Cl (0.6856, 0.3144, 0.3368)
Cl (0.8144, 0.8144, 0.8368)
Cl (0.8186, 0.8186, 0.4946)
Cl (0.8215, 0.8215, 0.1727)



Structure and simulated X-ray powder pattern of KCdAg2Cl8 (a GGA-PBE-relaxed structure; Cu Kα).

Principal peaks in the range 2θ from 10° to 80°, by angle:
Position (°2θ)	I/Imax
14.19	29
22.16	100
25.35	27
26.21	79
29.17	19
36.16	25
36.78	22
42.81	89
43.90	17
45.20	25
58.13	33
65.43	16

Cell lengths 8.4222, 8.4222, 8.4222 Å; angles 130.69, 130.69, 72.31 degrees
Fractional coordinates of all 12 atoms:
K (0.0000, 0.0000, 0.0000)
Cd (0.2500, 0.7500, 0.5000)
Ag (0.5000, 0.5000, 0.0000)
Ag (0.7500, 0.2500, 0.5000)
Cl (0.0451, 0.4197, 0.9946)
Cl (0.1887, 0.4244, 0.5965)
Cl (0.4078, 0.8113, 0.2358)
Cl (0.4251, 0.0505, 0.0054)
Cl (0.5756, 0.1721, 0.7642)
Cl (0.5803, 0.5749, 0.6254)
Cl (0.8279, 0.5922, 0.4035)
Cl (0.9495, 0.9549, 0.3746)



Structure and simulated X-ray powder pattern of CdAgRhCl6 (a GGA-PBE-relaxed structure; Cu Kα).

Principal peaks in the range 2θ from 10° to 80°, by angle:
Position (°2θ)	I/Imax
15.14	13
21.89	100
27.40	30
31.45	33
35.35	28
41.50	67
45.30	29
48.44	29
49.45	10
61.38	11
64.81	10
65.65	15

Cell lengths 6.5092, 6.5092, 11.7022 Å; angles 90.00, 90.00, 120.00 degrees
Fractional coordinates of all 18 atoms:
Cd (0.3333, 0.6667, 0.2500)
Cd (0.6667, 0.3333, 0.7500)
Ag (0.0000, 0.0000, 0.0000)
Ag (0.0000, 0.0000, 0.5000)
Rh (0.3333, 0.6667, 0.7500)
Rh (0.6667, 0.3333, 0.2500)
Cl (0.0336, 0.3728, 0.6323)
Cl (0.0336, 0.6609, 0.8677)
Cl (0.3391, 0.3728, 0.8677)
Cl (0.3391, 0.9664, 0.6323)
Cl (0.3728, 0.0336, 0.1323)
Cl (0.3728, 0.3391, 0.3677)
Cl (0.6272, 0.6609, 0.6323)
Cl (0.6272, 0.9664, 0.8677)
Cl (0.6609, 0.0336, 0.3677)
Cl (0.6609, 0.6272, 0.1323)
Cl (0.9664, 0.3391, 0.1323)
Cl (0.9664, 0.6272, 0.3677)



Structure and simulated X-ray powder pattern of CdAgSCl2 (a GGA-PBE-relaxed structure; Cu Kα).

Principal peaks in the range 2θ from 10° to 80°, by angle:
Position (°2θ)	I/Imax
25.14	100
25.92	44
31.24	18
34.67	32
36.99	53
43.79	22
45.25	41
51.59	38
53.31	17
56.62	10
65.17	18
69.57	11

Cell lengths 4.8607, 4.8607, 5.1749 Å; angles 90.00, 90.00, 90.00 degrees
Fractional coordinates of all 5 atoms:
Cd (0.0000, 0.0000, 0.0000)
Ag (0.5000, 0.5000, 0.5000)
S (0.5000, 0.5000, 0.0000)
Cl (0.0000, 0.5000, 0.5000)
Cl (0.5000, 0.0000, 0.5000)



Structure and simulated X-ray powder pattern of Cd2AgSnCl8 (a GGA-PBE-relaxed structure; Cu Kα).

Principal peaks in the range 2θ from 10° to 80°, by angle:
Position (°2θ)	I/Imax
20.40	100
24.35	77
38.22	88
39.69	11
41.49	26
45.02	23
46.65	14
48.69	33
49.90	12
58.76	12
62.87	14
65.84	13

Cell lengths 7.6509, 7.6509, 7.6509 Å; angles 110.64, 110.64, 107.16 degrees
Fractional coordinates of all 12 atoms:
Cd (0.0000, 0.0000, 0.0000)
Cd (0.7500, 0.2500, 0.5000)
Ag (0.5000, 0.5000, 0.0000)
Sn (0.2500, 0.7500, 0.5000)
Cl (0.0003, 0.8029, 0.1974)
Cl (0.1507, 0.4547, 0.6960)
Cl (0.1971, 0.9997, 0.8026)
Cl (0.1971, 0.3945, 0.1974)
Cl (0.5453, 0.2413, 0.6960)
Cl (0.5453, 0.8493, 0.3040)
Cl (0.6055, 0.8029, 0.8026)
Cl (0.7587, 0.4547, 0.3040)



Structure and simulated X-ray powder pattern of Tl2CdAgCl5 (a GGA-PBE-relaxed structure; Cu Kα).

Principal peaks in the range 2θ from 10° to 80°, by angle:
Position (°2θ)	I/Imax
20.24	15
21.64	69
23.16	25
25.74	39
26.07	24
26.88	24
29.63	100
34.02	17
35.15	21
42.74	15
44.13	31
49.67	18

Cell lengths 9.4860, 9.4860, 13.7446 Å; angles 90.00, 90.00, 155.01 degrees
Fractional coordinates of all 18 atoms:
Tl (0.0982, 0.9018, 0.5000)
Tl (0.1344, 0.8656, 0.1373)
Tl (0.8656, 0.1344, 0.6373)
Tl (0.9018, 0.0982, 0.0000)
Cd (0.2164, 0.7836, 0.8532)
Cd (0.7836, 0.2164, 0.3532)
Ag (0.4521, 0.5479, 0.2740)
Ag (0.5479, 0.4521, 0.7740)
Cl (0.0721, 0.9279, 0.8845)
Cl (0.2738, 0.7262, 0.4836)
Cl (0.3016, 0.6984, 0.2265)
Cl (0.3568, 0.6432, 0.8295)
Cl (0.4936, 0.5064, 0.6089)
Cl (0.5064, 0.4936, 0.1089)
Cl (0.6432, 0.3568, 0.3295)
Cl (0.6984, 0.3016, 0.7265)
Cl (0.7262, 0.2738, 0.9836)
Cl (0.9279, 0.0721, 0.3845)



Structure and simulated X-ray powder pattern of TlCd3Ag4Cl12 (a GGA-PBE-relaxed structure; Cu Kα).

Principal peaks in the range 2θ from 10° to 80°, by angle:
Position (°2θ)	I/Imax
20.90	49
21.45	51
22.85	100
26.05	24
27.37	30
29.59	30
36.28	41
38.89	21
40.54	47
45.58	38
51.92	24
54.88	25

Cell lengths 8.9289, 8.9289, 8.9289 Å; angles 106.96, 106.96, 106.96 degrees
Fractional coordinates of all 20 atoms:
Tl (0.0000, 0.0000, 0.0000)
Cd (0.0000, 0.5793, 0.4207)
Cd (0.4207, 0.0000, 0.5793)
Cd (0.5793, 0.4207, 0.0000)
Ag (0.1033, 0.5000, 0.8967)
Ag (0.5000, 0.5000, 0.5000)
Ag (0.5000, 0.8967, 0.1033)
Ag (0.8967, 0.1033, 0.5000)
Cl (0.0152, 0.6586, 0.7402)
Cl (0.0833, 0.9167, 0.5000)
Cl (0.2598, 0.3414, 0.9848)
Cl (0.3272, 0.6728, 0.5000)
Cl (0.3414, 0.9848, 0.2598)
Cl (0.5000, 0.0833, 0.9167)
Cl (0.5000, 0.3272, 0.6728)
Cl (0.6586, 0.7402, 0.0152)
Cl (0.6728, 0.5000, 0.3272)
Cl (0.7402, 0.0152, 0.6586)
Cl (0.9167, 0.5000, 0.0833)
Cl (0.9848, 0.2598, 0.3414)